The following is a theoretical X-ray diffraction stick pattern of Hf6Ga2Co. It was derived from a DFT-relaxed cell (GGA-PBE, OQMD), using λ = 1.5418 Å (Cu Kα).

Lattice parameters (Å, degrees): 7.7599 7.7599 3.3186 90.00 90.00 120.00
Space group P-62m (No. 189)
Asymmetric unit:
Hf 0.0000 0.2499 0.0000
Hf 0.0000 0.5988 0.5000
Ga 0.3333 0.6667 0.0000
Co 0.0000 0.0000 0.5000

Most intense lines, 10° ≤ 2θ ≤ 90°, by angle:
| 2θ (°) | I_rel | h k l |
| --- | --- | --- |
| 22.92 | 11 | 1 1 0 |
| 35.34 | 74 | 2 1 0 |
| 35.60 | 100 | 1 1 1 |
| 38.11 | 55 | 2 0 1 |
| 40.26 | 29 | 3 0 0 |
| 44.94 | 17 | 2 1 1 |
| 48.86 | 11 | 3 1 0 |
| 55.37 | 14 | 0 0 2 |
| 56.64 | 22 | 3 1 1 |
| 66.92 | 28 | 3 2 1 |
| 67.42 | 23 | 2 1 2 |
| 70.65 | 11 | 3 0 2 |


The following is a theoretical X-ray diffraction stick pattern of Li2HfZrGa2Co2. It was derived from a DFT-relaxed cell (GGA-PBE, OQMD), using λ = 1.5418 Å (Cu Kα).

Lattice parameters (Å, degrees): 4.298 4.298 6.079 90.00 90.00 90.00
Space group P-4m2 (No. 115)
Asymmetric unit:
Li 0.000 0.500 0.250
Hf 0.000 0.000 0.000
Zr 0.500 0.500 0.500
Ga 0.000 0.000 0.500
Ga 0.500 0.500 0.000
Co 0.000 0.500 0.752

Most intense lines, 10° ≤ 2θ ≤ 90°, by angle:
| 2θ (°) | I_rel | h k l |
| --- | --- | --- |
| 14.57 | 5 | 0 0 1 |
| 20.66 | 4 | 1 0 0 |
| 25.38 | 24 | 1 0 1 |
| 29.39 | 34 | 1 1 0 |
| 42.04 | 100 | 2 0 0 |
| 49.75 | 11 | 2 1 1 |
| 52.12 | 9 | 2 0 2 |
| 60.96 | 16 | 2 2 0 |
| 67.12 | 4 | 3 0 1 |
| 69.10 | 12 | 3 1 0 |
| 76.82 | 32 | 3 1 2 |
| 82.44 | 3 | 3 2 1 |


The following is a theoretical X-ray diffraction stick pattern of MgGaCoHg. It was derived from a DFT-relaxed cell (GGA-PBE, OQMD), using λ = 1.5418 Å (Cu Kα).

Lattice parameters (Å, degrees): 6.394 6.394 6.394 90.00 90.00 90.00
Space group F-43m (No. 216)
Asymmetric unit:
Mg 0.000 0.000 0.000
Ga 0.000 0.000 0.500
Co 0.250 0.250 0.750
Hg 0.250 0.250 0.250

Most intense lines, 10° ≤ 2θ ≤ 90°, by angle:
| 2θ (°) | I_rel | h k l |
| --- | --- | --- |
| 24.11 | 39 | 1 1 1 |
| 27.91 | 26 | 2 0 0 |
| 39.88 | 100 | 2 2 0 |
| 47.14 | 21 | 3 1 1 |
| 49.37 | 7 | 2 2 2 |
| 57.67 | 17 | 4 0 0 |
| 63.41 | 9 | 3 3 1 |
| 65.26 | 10 | 4 2 0 |
| 72.41 | 34 | 4 2 2 |
| 77.58 | 7 | 5 1 1 |
| 86.00 | 11 | 4 4 0 |


The following is a theoretical X-ray diffraction stick pattern of HoGa5Co. It was derived from a DFT-relaxed cell (GGA-PBE, OQMD), using λ = 1.5418 Å (Cu Kα).

Lattice parameters (Å, degrees): 4.206 4.206 6.801 90.00 90.00 90.00
Space group P4/mmm (No. 123)
Asymmetric unit:
Ho 0.000 0.000 0.000
Ga 0.000 0.500 0.310
Ga 0.500 0.500 0.000
Co 0.000 0.000 0.500

Most intense lines, 10° ≤ 2θ ≤ 90°, by angle:
| 2θ (°) | I_rel | h k l |
| --- | --- | --- |
| 21.12 | 23 | 1 0 0 |
| 32.87 | 53 | 1 1 1 |
| 33.90 | 14 | 1 0 2 |
| 39.76 | 19 | 0 0 3 |
| 40.29 | 100 | 1 1 2 |
| 43.01 | 55 | 2 0 0 |
| 60.01 | 23 | 2 0 3 |
| 62.46 | 18 | 2 2 0 |
| 72.40 | 11 | 3 1 1 |
| 76.64 | 11 | 2 2 3 |
| 76.98 | 28 | 3 1 2 |
| 77.11 | 11 | 1 1 5 |


The following is a theoretical X-ray diffraction stick pattern of Ho3GaCo3. It was derived from a DFT-relaxed cell (GGA-PBE, OQMD), using λ = 1.5418 Å (Cu Kα).

Lattice parameters (Å, degrees): 4.041 9.936 12.864 90.00 90.00 90.00
Space group Cmcm (No. 63)
Asymmetric unit:
Ho 0.000 0.007 0.250
Ho 0.000 0.294 0.104
Ga 0.000 0.000 0.000
Co 0.000 0.293 0.750
Co 0.000 0.416 0.594

Most intense lines, 10° ≤ 2θ ≤ 90°, by angle:
| 2θ (°) | I_rel | h k l |
| --- | --- | --- |
| 27.55 | 30 | 1 1 2 |
| 31.73 | 73 | 1 1 3 |
| 33.18 | 59 | 0 2 4 |
| 35.03 | 96 | 1 3 0 |
| 36.85 | 100 | 1 1 4 |
| 41.04 | 70 | 1 3 3 |
| 42.04 | 34 | 0 4 3 |
| 42.15 | 26 | 0 0 6 |
| 44.86 | 50 | 2 0 0 |
| 56.93 | 26 | 2 2 4 |
| 63.19 | 40 | 2 0 6 |
| 70.29 | 22 | 1 7 0 |


The following is a theoretical X-ray diffraction stick pattern of Ho8Ga3Co. It was derived from a DFT-relaxed cell (GGA-PBE, OQMD), using λ = 1.5418 Å (Cu Kα).

Lattice parameters (Å, degrees): 9.9687 9.9687 6.8807 90.00 90.00 120.00
Space group P6_3mc (No. 186)
Asymmetric unit:
Ho 0.0000 0.0000 0.0000
Ho 0.0724 0.5362 0.0245
Ho 0.1729 0.3459 0.7225
Ho 0.3333 0.6667 0.4043
Ga 0.1634 0.3268 0.2717
Co 0.3333 0.6667 0.7907

Most intense lines, 10° ≤ 2θ ≤ 90°, by angle:
| 2θ (°) | I_rel | h k l |
| --- | --- | --- |
| 24.34 | 18 | 2 0 1 |
| 30.32 | 45 | 2 1 1 |
| 31.60 | 22 | 1 1 2 |
| 33.30 | 100 | 2 0 2 |
| 33.76 | 20 | 3 0 1 |
| 36.04 | 90 | 2 2 0 |
| 40.70 | 11 | 1 0 3 |
| 49.88 | 17 | 4 0 2 |
| 55.62 | 11 | 4 1 2 |
| 61.90 | 17 | 3 2 3 |
| 62.03 | 10 | 3 3 2 |
| 65.99 | 12 | 2 2 4 |


The following is a theoretical X-ray diffraction stick pattern of Ho2GaCoI2. It was derived from a DFT-relaxed cell (GGA-PBE, OQMD), using λ = 1.5418 Å (Cu Kα).

Lattice parameters (Å, degrees): 4.1276 4.1276 11.7387 90.00 90.00 120.00
Space group P3m1 (No. 156)
Asymmetric unit:
Ho 0.0000 0.0000 0.0000
Ho 0.0000 0.0000 0.3080
Ga 0.3333 0.6667 0.1556
Co 0.6667 0.3333 0.1541
I 0.3333 0.6667 0.8221
I 0.6667 0.3333 0.4868

Most intense lines, 10° ≤ 2θ ≤ 90°, by angle:
| 2θ (°) | I_rel | h k l |
| --- | --- | --- |
| 26.06 | 52 | 1 0 1 |
| 29.25 | 29 | 1 0 2 |
| 33.97 | 100 | 1 0 3 |
| 39.74 | 25 | 0 1 4 |
| 43.87 | 48 | 1 1 0 |
| 46.41 | 12 | 0 0 6 |
| 51.74 | 8 | 0 2 1 |
| 56.61 | 23 | 0 2 3 |
| 61.03 | 8 | 1 0 7 |
| 65.77 | 25 | 1 1 6 |
| 74.26 | 20 | 2 1 3 |
| 80.63 | 8 | 3 0 0 |


The following is a theoretical X-ray diffraction stick pattern of HoIn4GaCo. It was derived from a DFT-relaxed cell (GGA-PBE, OQMD), using λ = 1.5418 Å (Cu Kα).

Lattice parameters (Å, degrees): 4.494 4.494 7.451 90.00 90.00 90.00
Space group P4/mmm (No. 123)
Asymmetric unit:
Ho 0.000 0.000 0.000
In 0.000 0.500 0.303
Ga 0.500 0.500 0.000
Co 0.000 0.000 0.500

Most intense lines, 10° ≤ 2θ ≤ 90°, by angle:
| 2θ (°) | I_rel | h k l |
| --- | --- | --- |
| 19.75 | 13 | 1 0 0 |
| 30.58 | 41 | 1 1 1 |
| 31.18 | 8 | 1 0 2 |
| 36.16 | 20 | 0 0 3 |
| 37.19 | 100 | 1 1 2 |
| 40.13 | 53 | 2 0 0 |
| 55.11 | 23 | 2 0 3 |
| 58.05 | 18 | 2 2 0 |
| 67.04 | 9 | 3 1 1 |
| 69.69 | 14 | 1 1 5 |
| 70.33 | 11 | 2 2 3 |
| 70.98 | 29 | 3 1 2 |


The following is a theoretical X-ray diffraction stick pattern of RbIn3Ga6Co2. It was derived from a DFT-relaxed cell (GGA-PBE, OQMD), using λ = 1.5418 Å (Cu Kα).

Lattice parameters (Å, degrees): 8.6159 8.6159 3.9865 90.00 90.00 120.00
Space group P6/mmm (No. 191)
Asymmetric unit:
Rb 0.0000 0.0000 0.0000
In 0.0000 0.5000 0.0000
Ga 0.2182 0.4364 0.5000
Co 0.3333 0.6667 0.0000

Most intense lines, 10° ≤ 2θ ≤ 90°, by angle:
| 2θ (°) | I_rel | h k l |
| --- | --- | --- |
| 11.86 | 56 | 1 0 0 |
| 23.85 | 16 | 2 0 0 |
| 32.88 | 100 | 2 0 1 |
| 39.13 | 51 | 2 1 1 |
| 41.94 | 31 | 2 2 0 |
| 42.86 | 16 | 3 0 1 |
| 45.51 | 23 | 0 0 2 |
| 48.01 | 31 | 2 2 1 |
| 48.82 | 18 | 4 0 0 |
| 63.60 | 17 | 2 2 2 |
| 70.89 | 15 | 4 2 1 |
| 80.99 | 14 | 6 0 1 |


The following is a theoretical X-ray diffraction stick pattern of SmIn4GaCo. It was derived from a DFT-relaxed cell (GGA-PBE, OQMD), using λ = 1.5418 Å (Cu Kα).

Lattice parameters (Å, degrees): 4.521 4.521 7.513 90.00 90.00 90.00
Space group P4/mmm (No. 123)
Asymmetric unit:
Sm 0.000 0.000 0.000
In 0.000 0.500 0.305
Ga 0.500 0.500 0.000
Co 0.000 0.000 0.500

Most intense lines, 10° ≤ 2θ ≤ 90°, by angle:
| 2θ (°) | I_rel | h k l |
| --- | --- | --- |
| 19.63 | 12 | 1 0 0 |
| 27.91 | 8 | 1 1 0 |
| 30.38 | 41 | 1 1 1 |
| 35.86 | 21 | 0 0 3 |
| 36.92 | 100 | 1 1 2 |
| 39.88 | 55 | 2 0 0 |
| 54.70 | 24 | 2 0 3 |
| 57.67 | 18 | 2 2 0 |
| 66.58 | 9 | 3 1 1 |
| 69.07 | 14 | 1 1 5 |
| 69.80 | 11 | 2 2 3 |
| 70.47 | 29 | 3 1 2 |


The following is a theoretical X-ray diffraction stick pattern of Tm2In4Ga4Co. It was derived from a DFT-relaxed cell (GGA-PBE, OQMD), using λ = 1.5418 Å (Cu Kα).

Lattice parameters (Å, degrees): 4.413 4.413 11.635 90.00 90.00 90.00
Space group P4/mmm (No. 123)
Asymmetric unit:
Tm 0.000 0.000 0.174
In 0.000 0.500 0.371
Ga 0.000 0.500 0.000
Ga 0.500 0.500 0.175
Co 0.000 0.000 0.500

Most intense lines, 10° ≤ 2θ ≤ 90°, by angle:
| 2θ (°) | I_rel | h k l |
| --- | --- | --- |
| 20.12 | 14 | 1 0 0 |
| 29.64 | 19 | 1 1 1 |
| 30.71 | 16 | 0 0 4 |
| 32.56 | 16 | 1 1 2 |
| 36.97 | 100 | 1 1 3 |
| 38.69 | 10 | 0 0 5 |
| 40.90 | 47 | 2 0 0 |
| 52.01 | 10 | 2 0 4 |
| 57.56 | 13 | 2 0 5 |
| 59.22 | 15 | 2 2 0 |
| 71.58 | 11 | 1 1 8 |
| 71.90 | 27 | 3 1 3 |